# 1
Zr4Fe2N: computed PXRD pattern (Cu Ka), based on a crystal structure in the Materials Project, relaxed with PBE.

Cell and atoms:
abc: 12.2064 12.2064 12.2064
angles: 90.00 90.00 90.00
Space group Fd-3m (No. 227, origin choice 2)
Unique sites:
Zr 0.0000 0.0000 0.0000
Zr 0.0603 0.3750 0.8750
Fe 0.0408 0.0408 0.2092
N 0.0000 0.0000 0.5000

Most intense lines, 15 to 90 degrees two-theta, by intensity:
d/Å	I_rel	(hkl)
2.349	100.0	3 3 3
2.492	40.6	4 2 2
1.439	36.5	6 6 0
2.158	29.3	4 4 0
2.800	23.3	3 3 1
1.227	18.2	9 3 3
1.409	10.4	5 5 5
1.840	7.6	6 2 2
1.491	7.2	7 3 3
2.034	5.6	4 4 2



# 2
Na3Fe: computed PXRD pattern (Cu Ka), based on a crystal structure in the Materials Project, relaxed with PBE.

Cell and atoms:
```
data_Na3Fe
_space_group_name_H-M_alt 'P 63/m m c'
_space_group_IT_number 194
_space_group_name_Hall '-P 6c 2c'
_cell_length_a 6.9328
_cell_length_b 6.9328
_cell_length_c 5.3960
_cell_angle_alpha 90.00
_cell_angle_beta 90.00
_cell_angle_gamma 120.00
loop_
_atom_site_label
_atom_site_type_symbol
_atom_site_fract_x
_atom_site_fract_y
_atom_site_fract_z
_atom_site_occupancy
Na1 Na 0.1747 0.3494 0.2500 1
Fe1 Fe 0.3333 0.6667 0.7500 1
```

Most intense lines, 15 to 90 degrees two-theta, by intensity:
d/Å	I_rel	(hkl)
2.623	100.0	2 0 1
3.002	24.4	2 0 0
2.698	24.4	0 0 2
4.013	18.2	1 0 1
1.458	18.1	2 2 2
1.543	17.2	2 0 3
1.733	17.2	2 2 0
2.007	14.5	2 0 2
1.446	13.0	4 0 1
3.466	10.2	1 1 0



# 3
Na3Fe: computed PXRD pattern (Cu Ka), based on a crystal structure in the Materials Project, relaxed with PBE.

Cell and atoms:
```
data_Na3Fe
_space_group_name_H-M_alt 'P m -3 m'
_space_group_IT_number 221
_space_group_name_Hall '-P 4 2 3'
_cell_length_a 4.7899
_cell_length_b 4.7899
_cell_length_c 4.7899
_cell_angle_alpha 90.00
_cell_angle_beta 90.00
_cell_angle_gamma 90.00
loop_
_atom_site_label
_atom_site_type_symbol
_atom_site_fract_x
_atom_site_fract_y
_atom_site_fract_z
_atom_site_occupancy
Na1 Na 0.0000 0.0000 0.5000 1
Fe1 Fe 0.5000 0.5000 0.5000 1
```

Most intense lines, 15 to 90 degrees two-theta, by intensity:
d/Å	I_rel	(hkl)
2.765	100.0	1 1 1
2.395	49.2	2 0 0
1.444	34.5	3 1 1
1.693	31.3	2 2 0
4.790	21.4	1 0 0
3.387	17.8	1 1 0
1.099	12.5	3 3 1
1.383	9.7	2 2 2
2.142	9.5	2 1 0
1.955	7.0	2 1 1



# 4
Na2Fe3S4: computed PXRD pattern (Cu Ka), based on a crystal structure in the Materials Project, relaxed with PBE.

Cell and atoms:
```
data_Na2Fe3S4
_space_group_name_H-M_alt 'C 1 m 1'
_space_group_IT_number 8
_space_group_name_Hall 'C -2y'
_cell_length_a 14.7747
_cell_length_b 3.5842
_cell_length_c 6.5127
_cell_angle_alpha 90.00
_cell_angle_beta 115.57
_cell_angle_gamma 90.00
loop_
_atom_site_label
_atom_site_type_symbol
_atom_site_fract_x
_atom_site_fract_y
_atom_site_fract_z
_atom_site_occupancy
Na1 Na 0.0000 0.0000 0.0000 1
Na2 Na 0.0066 0.5000 0.5041 1
Fe1 Fe 0.2015 0.5000 0.0299 1
Fe2 Fe 0.2038 0.0000 0.5448 1
Fe3 Fe 0.3155 0.5000 0.4761 1
S1 S 0.1529 0.5000 0.3063 1
S2 S 0.1539 0.0000 0.8228 1
S3 S 0.3623 0.5000 0.2063 1
S4 S 0.3672 0.0000 0.6869 1
```

Most intense lines, 15 to 90 degrees two-theta, by intensity:
d/Å	I_rel	(hkl)
1.857	100.0	3 1 -3
2.846	78.7	1 1 1
3.140	61.0	1 1 -1
2.291	60.1	3 1 1
1.792	58.0	0 2 0
1.818	49.1	5 1 1
2.835	46.3	3 1 -1
2.221	39.0	6 0 0
2.914	36.1	4 0 -2
5.828	35.7	2 0 -1



# 5
NaFeS2: computed PXRD pattern (Cu Ka), based on a crystal structure in the Materials Project, relaxed with PBE.

Cell and atoms:
```
data_NaFeS2
_space_group_name_H-M_alt 'I 2 2 2'
_space_group_IT_number 23
_space_group_name_Hall 'I 2 2'
_cell_length_a 5.4581
_cell_length_b 6.8408
_cell_length_c 11.1576
_cell_angle_alpha 90.00
_cell_angle_beta 90.00
_cell_angle_gamma 90.00
loop_
_atom_site_label
_atom_site_type_symbol
_atom_site_fract_x
_atom_site_fract_y
_atom_site_fract_z
_atom_site_occupancy
Na1 Na 0.0000 0.0000 0.2006 1
Fe1 Fe 0.0000 0.0000 0.5000 1
Fe2 Fe 0.0000 0.5000 0.0000 1
S1 S 0.2433 0.3212 0.8948 1
```

Most intense lines, 15 to 90 degrees two-theta, by intensity:
d/Å	I_rel	(hkl)
5.832	100.0	0 1 1
3.389	36.1	1 1 2
5.579	25.2	0 0 2
3.267	18.6	0 1 3
2.133	18.3	2 2 0
2.095	18.3	2 1 3
1.951	13.5	2 0 4
2.162	13.1	0 2 4
1.729	11.9	2 3 1
1.944	9.5	0 3 3



# 6
Na3Fe2S4: computed PXRD pattern (Cu Ka), based on a crystal structure in the Materials Project, relaxed with PBE.

Cell and atoms:
```
data_Na3Fe2S4
_space_group_name_H-M_alt 'P n m a'
_space_group_IT_number 62
_space_group_name_Hall '-P 2ac 2n'
_cell_length_a 6.6631
_cell_length_b 10.4986
_cell_length_c 10.6999
_cell_angle_alpha 90.00
_cell_angle_beta 90.00
_cell_angle_gamma 90.00
loop_
_atom_site_label
_atom_site_type_symbol
_atom_site_fract_x
_atom_site_fract_y
_atom_site_fract_z
_atom_site_occupancy
Na1 Na 0.0431 0.0849 0.1436 1
Na2 Na 0.0821 0.2500 0.7651 1
Fe1 Fe 0.0460 0.1259 0.4711 1
S1 S 0.1234 0.7500 0.6647 1
S2 S 0.1653 0.5519 0.3772 1
S3 S 0.1950 0.7500 0.0377 1
```

Most intense lines, 15 to 90 degrees two-theta, by intensity:
d/Å	I_rel	(hkl)
5.656	100.0	1 0 1
5.350	32.1	0 0 2
3.012	28.9	1 1 3
2.015	24.4	1 4 3
3.266	24.0	1 2 2
2.382	23.6	0 2 4
2.355	20.1	0 4 2
2.720	19.9	2 2 1
3.144	16.2	1 0 3
2.681	14.8	1 3 2



# 7
NaFe4Sb12: computed PXRD pattern (Cu Ka), based on a crystal structure in the Materials Project, relaxed with PBE.

Cell and atoms:
```
data_NaFe4Sb12
_space_group_name_H-M_alt 'I m -3'
_space_group_IT_number 204
_space_group_name_Hall '-I 2 2 3'
_cell_length_a 9.2027
_cell_length_b 9.2027
_cell_length_c 9.2027
_cell_angle_alpha 90.00
_cell_angle_beta 90.00
_cell_angle_gamma 90.00
loop_
_atom_site_label
_atom_site_type_symbol
_atom_site_fract_x
_atom_site_fract_y
_atom_site_fract_z
_atom_site_occupancy
Na1 Na 0.0000 0.0000 0.0000 1
Fe1 Fe 0.2500 0.2500 0.2500 1
Sb1 Sb 0.0000 0.3339 0.1611 1
```

Most intense lines, 15 to 90 degrees two-theta, by intensity:
d/Å	I_rel	(hkl)
2.910	100.0	3 0 1
2.460	41.0	3 1 2
1.578	20.8	5 3 0
2.058	20.7	4 2 0
1.805	20.1	4 3 1
1.357	18.2	6 1 3
1.878	17.4	4 2 2
1.534	10.0	6 0 0
1.962	9.8	3 3 2
1.100	8.8	6 5 3



# 8
Na3FeSe3: computed PXRD pattern (Cu Ka), based on a crystal structure in the Materials Project, relaxed with PBE.

Cell and atoms:
```
data_Na3FeSe3
_space_group_name_H-M_alt 'P 1 21/c 1'
_space_group_IT_number 14
_space_group_name_Hall '-P 2ybc'
_cell_length_a 7.4813
_cell_length_b 7.2321
_cell_length_c 14.8651
_cell_angle_alpha 90.00
_cell_angle_beta 118.83
_cell_angle_gamma 90.00
loop_
_atom_site_label
_atom_site_type_symbol
_atom_site_fract_x
_atom_site_fract_y
_atom_site_fract_z
_atom_site_occupancy
Na1 Na 0.0040 0.0001 0.2764 1
Na2 Na 0.3754 0.0172 0.5930 1
Na3 Na 0.4513 0.5167 0.6138 1
Fe1 Fe 0.0004 0.1201 0.0741 1
Se1 Se 0.0123 0.2113 0.9236 1
Se2 Se 0.2957 0.7423 0.4270 1
Se3 Se 0.2992 0.2165 0.2255 1
```

Most intense lines, 15 to 90 degrees two-theta, by intensity:
d/Å	I_rel	(hkl)
3.322	100.0	2 1 -2
3.360	89.9	1 1 2
2.591	77.1	1 2 -4
2.616	44.9	1 2 2
3.305	44.0	1 1 -4
2.170	43.5	0 0 6
3.616	41.1	0 2 0
2.185	39.2	3 0 0
2.140	39.1	3 0 -6
2.026	35.4	2 3 -2



# 9
Nb3Fe: computed PXRD pattern (Cu Ka), based on a crystal structure in the Materials Project, relaxed with PBE.

Cell and atoms:
```
data_Nb3Fe
_space_group_name_H-M_alt 'F m -3 m'
_space_group_IT_number 225
_space_group_name_Hall '-F 4 2 3'
_cell_length_a 6.3793
_cell_length_b 6.3793
_cell_length_c 6.3793
_cell_angle_alpha 90.00
_cell_angle_beta 90.00
_cell_angle_gamma 90.00
loop_
_atom_site_label
_atom_site_type_symbol
_atom_site_fract_x
_atom_site_fract_y
_atom_site_fract_z
_atom_site_occupancy
Nb1 Nb 0.0000 0.0000 0.0000 1
Nb2 Nb 0.2500 0.2500 0.2500 1
Fe1 Fe 0.0000 0.0000 0.5000 1
```

Most intense lines, 15 to 90 degrees two-theta, by intensity:
d/Å	I_rel	(hkl)
2.255	100.0	2 2 0
1.302	32.1	4 2 2
1.595	16.3	4 0 0
1.128	10.2	4 4 0
3.683	2.8	1 1 1
3.190	1.5	2 0 0
1.923	1.4	3 1 1
1.464	0.6	3 3 1
1.426	0.6	4 2 0



# 10
NbFe2: computed PXRD pattern (Cu Ka), based on a crystal structure in the Materials Project, relaxed with PBE.

Cell and atoms:
```
data_NbFe2
_space_group_name_H-M_alt 'P 63/m m c'
_space_group_IT_number 194
_space_group_name_Hall '-P 6c 2c'
_cell_length_a 4.7827
_cell_length_b 4.7827
_cell_length_c 15.5859
_cell_angle_alpha 90.00
_cell_angle_beta 90.00
_cell_angle_gamma 120.00
loop_
_atom_site_label
_atom_site_type_symbol
_atom_site_fract_x
_atom_site_fract_y
_atom_site_fract_z
_atom_site_occupancy
Nb1 Nb 0.0000 0.0000 0.0925 1
Nb2 Nb 0.3333 0.6667 0.1559 1
Fe1 Fe 0.0000 0.5000 0.0000 1
Fe2 Fe 0.1623 0.3247 0.7500 1
Fe3 Fe 0.3333 0.6667 0.6265 1
```

Most intense lines, 15 to 90 degrees two-theta, by intensity:
d/Å	I_rel	(hkl)
2.038	100.0	1 1 4
2.201	67.2	1 0 6
2.001	53.2	2 0 2
2.391	47.4	1 1 0
1.341	26.4	2 1 6
1.196	22.8	2 2 0
1.301	21.4	3 0 4
1.245	20.3	2 0 10
2.053	19.2	2 0 1
1.961	14.7	1 0 7



# 11
NbFe2: computed PXRD pattern (Cu Ka), based on a crystal structure in the Materials Project, relaxed with PBE.

Cell and atoms:
abc: 6.8237 6.8237 6.8237
angles: 90.00 90.00 90.00
Space group Fd-3m (No. 227, origin choice 2)
Unique sites:
Nb 0.1250 0.1250 0.1250
Fe 0.0000 0.0000 0.5000

Most intense lines, 15 to 90 degrees two-theta, by intensity:
d/Å	I_rel	(hkl)
2.057	100.0	3 1 1
2.413	46.4	2 2 0
1.313	28.5	5 1 1
1.970	24.9	2 2 2
1.206	22.5	4 4 0
1.393	15.7	4 2 2
3.940	0.8	1 1 1



# 12
Nb2Fe: computed PXRD pattern (Cu Ka), based on a crystal structure in the Materials Project, relaxed with PBE.

Cell and atoms:
abc: 7.4484 7.4484 7.4484
angles: 90.00 90.00 90.00
Space group Fd-3m (No. 227, origin choice 2)
Unique sites:
Nb 0.0000 0.0000 0.0000
Fe 0.1250 0.1250 0.6250

Most intense lines, 15 to 90 degrees two-theta, by intensity:
d/Å	I_rel	(hkl)
2.246	100.0	3 1 1
2.150	56.7	2 2 2
1.433	30.0	5 1 1
4.300	29.4	1 1 1
1.317	27.9	4 4 0
1.123	20.3	6 2 2
2.633	14.9	2 2 0
1.862	13.1	4 0 0
1.136	10.3	5 3 3
1.709	6.8	3 3 1